Eu2MnGe4O12: simulated powder X-ray diffraction pattern (Cu Ka), based on DFT lattice parameters and positions (PBE+U).
Intensities are scaled so that the largest is 1000.

Atomic structure:
```
data_Eu2MnGe4O12
_symmetry_space_group_name_H-M 'P 1'
_symmetry_Int_Tables_number 1
_cell_length_a 10.175
_cell_length_b 10.175
_cell_length_c 4.995
_cell_angle_alpha 90.00
_cell_angle_beta 90.00
_cell_angle_gamma 90.09
loop_
_symmetry_equiv_pos_as_xyz
'x,y,z'
loop_
_atom_site_label
_atom_site_type_symbol
_atom_site_fract_x
_atom_site_fract_y
_atom_site_fract_z
Eu1 Eu 0.000 0.500 0.000
Eu2 Eu 0.250 0.250 0.000
Eu3 Eu 0.500 0.000 0.000
Eu4 Eu 0.750 0.750 0.000
Mn1 Mn 0.000 0.000 0.000
Mn2 Mn 0.500 0.500 0.000
Ge1 Ge 0.027 0.757 0.508
Ge2 Ge 0.243 0.973 0.508
Ge3 Ge 0.257 0.527 0.508
Ge4 Ge 0.473 0.743 0.508
Ge5 Ge 0.527 0.257 0.492
Ge6 Ge 0.743 0.473 0.492
Ge7 Ge 0.757 0.027 0.492
Ge8 Ge 0.973 0.243 0.492
O1 O 0.047 0.158 0.224
O2 O 0.066 0.324 0.733
O3 O 0.131 0.869 0.324
O4 O 0.133 0.633 0.669
O5 O 0.158 0.047 0.776
O6 O 0.176 0.434 0.267
O7 O 0.324 0.066 0.267
O8 O 0.342 0.453 0.776
O9 O 0.367 0.867 0.669
O10 O 0.369 0.631 0.324
O11 O 0.434 0.176 0.733
O12 O 0.453 0.342 0.224
O13 O 0.547 0.658 0.776
O14 O 0.566 0.824 0.267
O15 O 0.631 0.369 0.676
O16 O 0.633 0.133 0.331
O17 O 0.658 0.547 0.224
O18 O 0.676 0.934 0.733
O19 O 0.824 0.566 0.733
O20 O 0.842 0.953 0.224
O21 O 0.867 0.367 0.331
O22 O 0.869 0.131 0.676
O23 O 0.934 0.676 0.267
O24 O 0.953 0.842 0.776
```

Peak list (8 most intense, 10 to 80 degrees two-theta, low angle first)
two_theta	intensity
12.3	159
21.7	335
27.7	134
30.6	1000
35.3	240
51.3	256
60.5	226
61.4	134